Starting from the PBE geometry in Alexandria, the powder diffraction line list of Tm2Pd6Pb was simulated for Cu Kα, 1.54184 Å.

a = 8.0773 Å, b = 8.0773 Å, c = 3.3754 Å
α = 101.93°, β = 101.93°, γ = 57.81°
Fractional positions:
Tm 0.1663 0.1663 0.1655
Tm 0.8337 0.8337 0.8345
Pd 0.1211 0.5456 0.3338
Pd 0.2051 0.7949 0.0000
Pd 0.4544 0.8789 0.6662
Pd 0.5456 0.1211 0.3338
Pd 0.7949 0.2051 0.0000
Pd 0.8789 0.4544 0.6662
Pb 0.5000 0.5000 0.5000

Most intense lines, 2θ = 10–90°, most intense first:
| Position (°2θ) | d (Å) | intensity |
| --- | --- | --- |
| 40.44 | 2.230 | 100.0 |
| 28.82 | 3.098 | 49.7 |
| 39.83 | 2.263 | 41.2 |
| 39.34 | 2.290 | 31.1 |
| 22.50 | 3.951 | 25.9 |
| 79.53 | 1.205 | 15.0 |
| 65.90 | 1.417 | 12.8 |
| 54.36 | 1.688 | 12.1 |
| 49.43 | 1.844 | 11.3 |
| 49.55 | 1.840 | 11.3 |